Computed XRD peak list of Ca2H2O3 for Cu Kα X-rays, from DFT lattice parameters and positions (PBE).
Lines closer than 0.1° are merged.

Atomic structure:
Cell: 3.520 3.520 8.190 Å, 90.00 90.00 120.00°
Atoms (fractional coordinates):
Ca (0.333, 0.667, 0.170)
Ca (0.667, 0.333, 0.830)
H (0.333, 0.667, 0.568)
H (0.667, 0.333, 0.432)
O (0.000, 0.000, 0.000)
O (0.333, 0.667, 0.687)
O (0.667, 0.333, 0.313)

Top 6 peaks for 2θ = 15–90°, by angle:
d/Å  2theta  I/Imax  (hkl)
4.095  21.70  18  0 0 2
3.048  29.30  19  1 0 0
2.857  31.31  22  0 1 1
2.445  36.76  100  0 1 2
1.760  51.96  30  1 1 0
1.700  53.95  29  1 0 4